1.
Simulated X-ray diffraction stick pattern
Compound: NdSmTa3
Radiation: λ = 1.5418 Å (Cu Kα)
Structure: DFT lattice parameters and positions (PBE)
Neutral-atom scattering factors, no anomalous dispersion.

The 8 most intense peaks (2θ from 10° to 90°), in order of rising 2θ:
- d = 6.162 Å, 14.37°, intensity 34.5
- d = 3.558 Å, 25.03°, intensity 34.6
- d = 3.081 Å, 28.98°, intensity 33.1
- d = 3.037 Å, 29.41°, intensity 53.3
- d = 2.635 Å, 34.02°, intensity 100.0
- d = 2.329 Å, 38.66°, intensity 58.7
- d = 2.255 Å, 39.98°, intensity 45.8
- d = 2.163 Å, 41.76°, intensity 97.2

Atomic structure:
a b c (Å): 5.8312 7.1133 7.1133
angles (deg): 60.06 90.00 90.00
Fractional coordinates of all 10 atoms:
Nd: 0.0000 0.0000 0.0000
Nd: 0.5000 0.0000 0.0000
Sm: 0.0000 0.3332 0.3332
Sm: 0.5000 0.3332 0.3332
Ta: 0.2500 0.4615 0.8762
Ta: 0.2500 0.6623 0.4612
Ta: 0.2500 0.8766 0.6622
Ta: 0.7500 0.4612 0.6623
Ta: 0.7500 0.6622 0.8766
Ta: 0.7500 0.8762 0.4615


2.
Simulated X-ray diffraction stick pattern
Compound: NdSmTe4
Radiation: λ = 1.5418 Å (Cu Kα)
Structure: DFT lattice parameters and positions (PBE)
Neutral-atom scattering factors, no anomalous dispersion.

The 8 most intense peaks (2θ from 10° to 90°), in order of rising 2θ:
- d = 3.038 Å, 29.40°, intensity 37.8
- d = 3.002 Å, 29.76°, intensity 100.0
- d = 2.607 Å, 34.39°, intensity 97.5
- d = 2.517 Å, 35.67°, intensity 54.3
- d = 2.248 Å, 40.11°, intensity 66.4
- d = 1.807 Å, 50.50°, intensity 33.3
- d = 1.677 Å, 54.74°, intensity 31.6
- d = 1.357 Å, 69.22°, intensity 25.2

Atomic structure:
a b c (Å): 4.4962 4.4962 9.1143
angles (deg): 90.00 90.00 90.00
Fractional coordinates of all 6 atoms:
Nd: 0.0000 0.0000 0.0000
Sm: 0.5000 0.5000 0.5425
Te: 0.0000 0.0000 0.6393
Te: 0.0000 0.5000 0.2729
Te: 0.5000 0.0000 0.2729
Te: 0.5000 0.5000 0.8992


3.
Simulated X-ray diffraction stick pattern
Compound: Nd5SmTe6
Radiation: λ = 1.5418 Å (Cu Kα)
Structure: DFT lattice parameters and positions (PBE)
Neutral-atom scattering factors, no anomalous dispersion.

The 8 most intense peaks (2θ from 10° to 90°), in order of rising 2θ:
- d = 3.172 Å, 28.13°, intensity 100.0
- d = 2.251 Å, 40.06°, intensity 12.8
- d = 2.243 Å, 40.21°, intensity 50.9
- d = 2.235 Å, 40.35°, intensity 12.6
- d = 1.836 Å, 49.67°, intensity 13.8
- d = 1.586 Å, 58.17°, intensity 12.9
- d = 1.419 Å, 65.84°, intensity 23.5
- d = 1.298 Å, 72.88°, intensity 8.7

Atomic structure:
a b c (Å): 7.7895 7.7895 7.7530
angles (deg): 99.65 99.65 120.18
Fractional coordinates of all 12 atoms:
Nd: 0.0000 0.0000 0.0000
Nd: 0.1671 0.8329 0.5000
Nd: 0.3305 0.6695 0.0000
Nd: 0.6695 0.3305 0.0000
Nd: 0.8329 0.1671 0.5000
Sm: 0.5000 0.5000 0.5000
Te: 0.0874 0.4173 0.2522
Te: 0.2532 0.2532 0.7500
Te: 0.4173 0.0874 0.2522
Te: 0.5827 0.9126 0.7478
Te: 0.7468 0.7468 0.2500
Te: 0.9126 0.5827 0.7478


4.
Simulated X-ray diffraction stick pattern
Compound: Nd4Sn3
Radiation: λ = 1.5418 Å (Cu Kα)
Structure: DFT lattice parameters and positions (PBE)
Neutral-atom scattering factors, no anomalous dispersion.

The 8 most intense peaks (2θ from 10° to 90°), in order of rising 2θ:
- d = 3.031 Å, 29.47°, intensity 100.0
- d = 2.561 Å, 35.03°, intensity 65.5
- d = 1.956 Å, 46.42°, intensity 16.8
- d = 1.879 Å, 48.43°, intensity 23.8
- d = 1.555 Å, 59.46°, intensity 26.4
- d = 1.515 Å, 61.16°, intensity 12.2
- d = 1.479 Å, 62.84°, intensity 14.7
- d = 1.304 Å, 72.47°, intensity 16.8

Atomic structure:
a b c (Å): 8.2996 8.2996 8.2996
angles (deg): 109.47 109.47 109.47
Fractional coordinates of all 14 atoms:
Nd: 0.0000 0.1409 0.5000
Nd: 0.0000 0.6409 0.5000
Nd: 0.1409 0.5000 0.0000
Nd: 0.3591 0.3591 0.3591
Nd: 0.5000 0.0000 0.1409
Nd: 0.5000 0.0000 0.6409
Nd: 0.6409 0.5000 0.0000
Nd: 0.8591 0.8591 0.8591
Sn: 0.1250 0.8750 0.2500
Sn: 0.2500 0.1250 0.8750
Sn: 0.3750 0.6250 0.7500
Sn: 0.6250 0.7500 0.3750
Sn: 0.7500 0.3750 0.6250
Sn: 0.8750 0.2500 0.1250


5.
Simulated X-ray diffraction stick pattern
Compound: Nd2Sn5
Radiation: λ = 1.5418 Å (Cu Kα)
Structure: DFT lattice parameters and positions (PBE)
Neutral-atom scattering factors, no anomalous dispersion.

The 8 most intense peaks (2θ from 10° to 90°), in order of rising 2θ:
- d = 2.848 Å, 31.41°, intensity 100.0
- d = 2.803 Å, 31.93°, intensity 45.1
- d = 2.659 Å, 33.71°, intensity 89.5
- d = 2.262 Å, 39.85°, intensity 35.9
- d = 2.212 Å, 40.78°, intensity 33.7
- d = 1.760 Å, 51.94°, intensity 23.4
- d = 1.582 Å, 58.34°, intensity 24.0
- d = 1.371 Å, 68.44°, intensity 23.7

Atomic structure:
a b c (Å): 4.4249 4.5248 19.6198
angles (deg): 90.00 90.00 90.00
Fractional coordinates of all 14 atoms:
Nd: 0.2500 0.2500 0.1287
Nd: 0.2500 0.7500 0.6976
Nd: 0.7500 0.2500 0.3024
Nd: 0.7500 0.7500 0.8713
Sn: 0.2500 0.2500 0.4266
Sn: 0.2500 0.2500 0.5748
Sn: 0.2500 0.2500 0.8408
Sn: 0.2500 0.7500 0.0020
Sn: 0.2500 0.7500 0.2636
Sn: 0.7500 0.2500 0.7364
Sn: 0.7500 0.2500 0.9980
Sn: 0.7500 0.7500 0.1592
Sn: 0.7500 0.7500 0.4252
Sn: 0.7500 0.7500 0.5734


6.
Simulated X-ray diffraction stick pattern
Compound: NdSn2
Radiation: λ = 1.5418 Å (Cu Kα)
Structure: DFT lattice parameters and positions (PBE)
Neutral-atom scattering factors, no anomalous dispersion.

The 8 most intense peaks (2θ from 10° to 90°), in order of rising 2θ:
- d = 3.103 Å, 28.78°, intensity 32.0
- d = 2.646 Å, 33.88°, intensity 100.0
- d = 2.533 Å, 35.44°, intensity 35.0
- d = 1.791 Å, 50.98°, intensity 13.1
- d = 1.689 Å, 54.32°, intensity 35.3
- d = 1.551 Å, 59.60°, intensity 30.3
- d = 1.323 Å, 71.29°, intensity 14.7
- d = 1.142 Å, 84.88°, intensity 23.4

Atomic structure:
a b c (Å): 6.2050 6.2050 6.2050
angles (deg): 60.00 60.00 60.00
Fractional coordinates of all 6 atoms:
Nd: 0.1250 0.1250 0.1250
Nd: 0.8750 0.8750 0.8750
Sn: 0.0000 0.5000 0.5000
Sn: 0.5000 0.0000 0.5000
Sn: 0.5000 0.5000 0.0000
Sn: 0.5000 0.5000 0.5000


7.
Simulated X-ray diffraction stick pattern
Compound: NdSnTe2
Radiation: λ = 1.5418 Å (Cu Kα)
Structure: DFT lattice parameters and positions (PBE)
Neutral-atom scattering factors, no anomalous dispersion.

The 8 most intense peaks (2θ from 10° to 90°), in order of rising 2θ:
- d = 3.257 Å, 27.38°, intensity 47.6
- d = 3.107 Å, 28.73°, intensity 22.5
- d = 3.081 Å, 28.99°, intensity 28.3
- d = 2.922 Å, 30.60°, intensity 100.0
- d = 2.823 Å, 31.70°, intensity 23.8
- d = 2.666 Å, 33.62°, intensity 80.5
- d = 2.223 Å, 40.57°, intensity 32.8
- d = 2.165 Å, 41.72°, intensity 30.3

Atomic structure:
a b c (Å): 13.2068 13.2068 4.4468
angles (deg): 90.00 90.00 161.13
Fractional coordinates of all 8 atoms:
Nd: 0.1696 0.8304 0.7500
Nd: 0.8304 0.1696 0.2500
Sn: 0.0486 0.9514 0.2500
Sn: 0.9514 0.0486 0.7500
Te: 0.2967 0.7033 0.7500
Te: 0.4239 0.5761 0.2500
Te: 0.5761 0.4239 0.7500
Te: 0.7033 0.2967 0.2500


8.
Simulated X-ray diffraction stick pattern
Compound: NdYZn2Sn2
Radiation: λ = 1.5418 Å (Cu Kα)
Structure: DFT lattice parameters and positions (PBE)
Neutral-atom scattering factors, no anomalous dispersion.

The 8 most intense peaks (2θ from 10° to 90°), in order of rising 2θ:
- d = 3.180 Å, 28.06°, intensity 20.5
- d = 2.823 Å, 31.69°, intensity 100.0
- d = 2.270 Å, 39.71°, intensity 65.8
- d = 1.997 Å, 45.42°, intensity 18.0
- d = 1.769 Å, 51.67°, intensity 25.2
- d = 1.512 Å, 61.29°, intensity 17.7
- d = 1.395 Å, 67.08°, intensity 22.9
- d = 1.311 Å, 72.06°, intensity 11.3

Atomic structure:
a b c (Å): 4.5399 4.5399 16.2252
angles (deg): 90.00 90.00 120.00
Fractional coordinates of all 12 atoms:
Nd: 0.0000 0.0000 0.0000
Nd: 0.0000 0.0000 0.5000
Y: 0.0000 0.0000 0.2500
Y: 0.0000 0.0000 0.7500
Zn: 0.3333 0.6667 0.1610
Zn: 0.3333 0.6667 0.3390
Zn: 0.6667 0.3333 0.6610
Zn: 0.6667 0.3333 0.8390
Sn: 0.3333 0.6667 0.6176
Sn: 0.3333 0.6667 0.8824
Sn: 0.6667 0.3333 0.1176
Sn: 0.6667 0.3333 0.3824